1.
Structure and simulated X-ray diffraction stick pattern of La6Co13Bi (a crystal structure in Alexandria, relaxed with GGA-PBE; CuKα).

Atomic structure:
Cell: 8.094 8.094 23.384 Å, 90.00 90.00 90.00°
Space group I4/mcm (No. 140)
Unique sites:
La (0.000, 0.000, 0.098)
La (0.160, 0.340, 0.178)
Co (0.000, 0.500, 0.000)
Co (0.066, 0.215, 0.500)
Co (0.114, 0.386, 0.413)
Co (0.176, 0.324, 0.055)
Bi (0.000, 0.000, 0.250)

Main lines, in order of falling intensity (2θ from 15° to 90°):
index  2theta  intensity
3 1 0  35.1  100
2 2 0  31.2  82
2 1 3  27.2  74
2 1 9  42.8  59
2 0 6  31.9  58
1 1 6  27.7  46

=====

2.
Structure and simulated X-ray diffraction stick pattern of InAg4Au2 (a crystal structure in Alexandria, relaxed with GGA-PBE; CuKα).

Atomic structure:
Cell: 5.790 7.718 7.740 Å, 66.26 68.33 68.14°
Space group P1 (No. 1)
Unique sites:
In (0.000, 0.000, 0.000)
In (0.177, 0.877, 0.384)
Ag (0.377, 0.626, 0.136)
Ag (0.391, 0.114, 0.614)
Ag (0.497, 0.494, 0.509)
Ag (0.513, 0.998, 0.991)
Ag (0.754, 0.249, 0.253)
Ag (0.764, 0.740, 0.737)
Ag (0.866, 0.628, 0.146)
Ag (0.879, 0.136, 0.618)
Au (0.127, 0.370, 0.872)
Au (0.250, 0.260, 0.256)
Au (0.250, 0.745, 0.762)
Au (0.626, 0.375, 0.876)

Main lines, in order of falling intensity (2θ from 15° to 90°):
index  2theta  intensity
0 3 1  37.7  100
0 1 3  37.5  33
0 2 -2  42.8  23
-2 1 1  44.1  21
2 3 3  44.3  20
2 -3 1  63.3  14

=====

Question: Which formula does entry 1 have?
Answer: La6Co13Bi

=====

Please write out number 1 again, unchanged.
Structure and simulated X-ray diffraction stick pattern of La6Co13Bi (a crystal structure in Alexandria, relaxed with GGA-PBE; CuKα).

Atomic structure:
Cell: 8.094 8.094 23.384 Å, 90.00 90.00 90.00°
Space group I4/mcm (No. 140)
Unique sites:
La (0.000, 0.000, 0.098)
La (0.160, 0.340, 0.178)
Co (0.000, 0.500, 0.000)
Co (0.066, 0.215, 0.500)
Co (0.114, 0.386, 0.413)
Co (0.176, 0.324, 0.055)
Bi (0.000, 0.000, 0.250)

Main lines, in order of falling intensity (2θ from 15° to 90°):
index  2theta  intensity
3 1 0  35.1  100
2 2 0  31.2  82
2 1 3  27.2  74
2 1 9  42.8  59
2 0 6  31.9  58
1 1 6  27.7  46